Simulated powder X-ray diffraction pattern of Tl3Cr2F9 for Cu Kα (λ = 1.5418 Å), from a structure optimized by DFT (GGA+U).
No peak broadening, texture or thermal motion is included.

Cell and atoms:
```
data_Tl3Cr2F9
_cell_length_a 6.1579
_cell_length_b 6.1579
_cell_length_c 15.7213
_cell_angle_alpha 90.00
_cell_angle_beta 90.00
_cell_angle_gamma 120.00
_symmetry_space_group_name_H-M 'P 63/m m c'
_symmetry_Int_Tables_number 194
_symmetry_space_group_name_Hall '-P 6c 2c'
loop_
_atom_site_label
_atom_site_type_symbol
_atom_site_fract_x
_atom_site_fract_y
_atom_site_fract_z
Tl1 Tl 0.0000 0.0000 0.2500
Tl2 Tl 0.3333 0.6667 0.0639
Cr1 Cr 0.3333 0.6667 0.6610
F1 F 0.0560 0.5280 0.7500
F2 F 0.1849 0.3699 0.5953
```

Most intense lines, 2θ = 10–90°, by angle:
d (Å)  2θ (°)  I_rel  index
4.413  20.1  94  1 0 2
3.738  23.8  60  1 0 3
3.164  28.2  23  1 0 4
3.079  29.0  100  1 1 0
2.709  33.1  48  1 0 5
2.525  35.6  41  2 0 2
2.376  37.9  38  2 0 3
2.034  44.6  25  2 0 5
1.952  46.5  21  2 1 2
1.697  54.0  29  2 1 5